Entry 1:
Diffraction record for V12Ga5H2. The powder diffractogram is computed, not measured: it uses a structure optimized by DFT (GGA-PBE) and Cu Kα.
Peak positions follow from Bragg's law for the DFT cell and can differ from measured ones.

Crystal structure
```
19
Lattice="-3.2340 3.3946 5.6916 3.2340 -3.3946 5.6916 3.2340 3.3946 -5.6916" Properties=species:S:1:pos:R:3 pbc="T T T"
V 1.6011 0.0000 1.6162
V 4.8670 0.0000 1.6162
V 0.0000 1.1258 0.0000
V 3.2340 1.6559 0.0000
V 1.9247 3.3946 -1.4697
V 1.3094 0.0000 4.2219
V 1.9247 3.3946 1.4697
V 1.3094 0.0000 7.1612
V 0.0000 1.7387 5.6916
V 0.0000 5.6633 0.0000
V -1.6329 3.3946 4.0754
V 1.6329 3.3946 4.0754
Ga 3.2340 -1.5633 2.9857
Ga 3.2340 1.5633 2.9857
Ga 0.0000 3.3946 0.0000
Ga 0.0000 1.8313 2.7059
Ga 0.0000 4.9579 2.7059
H 2.3182 0.0000 0.0000
H 4.1499 0.0000 0.0000
```

Top 8 peaks for 2θ = 10–90°, in order of falling intensity:
2θ (°), I/Imax
42.30, 100.0
38.45, 86.6
41.40, 69.2
70.92, 25.0
38.20, 17.7
54.03, 17.5
41.71, 17.4
56.95, 17.0


Entry 2:
Diffraction record for V2GaH. The powder diffractogram is computed, not measured: it uses a structure optimized by DFT (GGA-PBE) and Cu Kα.
Peak positions follow from Bragg's law for the DFT cell and can differ from measured ones.

Crystal structure
```
4
Lattice="1.4812 0.8552 6.0680 -1.4812 0.8552 6.0680 0.0000 -1.7104 6.0680" Properties=species:S:1:pos:R:3 pbc="T T T"
V 0.0000 0.0000 0.0000
V 0.0000 0.0000 4.2551
Ga 0.0000 0.0000 14.2556
H 0.0000 0.0000 11.2211
```

Top 8 peaks for 2θ = 10–90°, in order of falling intensity:
2θ (°), I/Imax
40.36, 100.0
43.13, 72.0
35.33, 35.7
62.73, 34.2
44.81, 30.8
80.35, 29.7
36.38, 28.9
53.85, 13.6


Entry 3:
Diffraction record for V8Ga4H. The powder diffractogram is computed, not measured: it uses a structure optimized by DFT (GGA-PBE) and Cu Kα.
Peak positions follow from Bragg's law for the DFT cell and can differ from measured ones.

Crystal structure
```
13
Lattice="3.2254 0.0000 0.0000 0.0000 4.1417 0.0000 0.0000 0.0000 12.6192" Properties=species:S:1:pos:R:3 pbc="T T T"
V 0.0000 0.0000 0.0000
V 0.0000 0.0000 4.1406
V 0.0000 2.0708 2.3705
V 0.0000 2.0708 6.6558
V 1.6127 0.0000 6.4213
V 1.6127 0.0000 10.6108
V 1.6127 2.0708 0.2984
V 1.6127 2.0708 8.6805
Ga 0.0000 0.0000 8.4834
Ga 0.0000 2.0708 10.8561
Ga 1.6127 0.0000 2.0413
Ga 1.6127 2.0708 4.5556
H 0.0000 0.0000 5.8776
```

Top 8 peaks for 2θ = 10–90°, in order of falling intensity:
2θ (°), I/Imax
41.47, 100.0
43.71, 22.7
43.01, 18.9
78.76, 13.3
62.99, 11.5
57.11, 9.7
77.77, 8.5
74.59, 8.3


Copy entry 2 word for word.
Diffraction record for V2GaH. The powder diffractogram is computed, not measured: it uses a structure optimized by DFT (GGA-PBE) and Cu Kα.
Peak positions follow from Bragg's law for the DFT cell and can differ from measured ones.

Crystal structure
```
4
Lattice="1.4812 0.8552 6.0680 -1.4812 0.8552 6.0680 0.0000 -1.7104 6.0680" Properties=species:S:1:pos:R:3 pbc="T T T"
V 0.0000 0.0000 0.0000
V 0.0000 0.0000 4.2551
Ga 0.0000 0.0000 14.2556
H 0.0000 0.0000 11.2211
```

Top 8 peaks for 2θ = 10–90°, in order of falling intensity:
2θ (°), I/Imax
40.36, 100.0
43.13, 72.0
35.33, 35.7
62.73, 34.2
44.81, 30.8
80.35, 29.7
36.38, 28.9
53.85, 13.6